Computed PXRD pattern of BC2 for Cu Kα, from a structure optimized by DFT (GGA-PBE).
Lines closer than 0.1° are merged.

Cell: 2.4979 2.4979 12.2186 Å, 90.00 90.00 90.00°
Space group P-4m2 (No. 115)
Unique sites:
B 0.0000 0.0000 0.0000
B 0.0000 0.5000 0.1092
B 0.5000 0.5000 0.5000
C 0.0000 0.0000 0.3429
C 0.0000 0.5000 0.4124
C 0.0000 0.5000 0.7359
C 0.5000 0.5000 0.1939

Peak list (9 most intense, 5° ≤ 2θ ≤ 70°, by angle)
- d 12.219, 7.23 deg, I = 64
- d 6.109, 14.50 deg, I = 27
- d 2.444, 36.77 deg, I = 1
- d 2.312, 38.95 deg, I = 1
- d 2.129, 42.45 deg, I = 100
- d 1.934, 46.99 deg, I = 7
- d 1.747, 52.38 deg, I = 2
- d 1.529, 60.58 deg, I = 1
- d 1.431, 65.18 deg, I = 3



Computed PXRD pattern of BaPtSe for Cu Kα, from a structure optimized by DFT (GGA-PBE).
Lines closer than 0.1° are merged.

Cell: 4.5849 7.9527 5.1622 Å, 90.00 90.04 90.00°
Space group P2_1/m (No. 11)
Unique sites:
Ba 0.0007 0.2500 0.2370
Pt 0.5000 0.0000 0.0000
Se 0.4989 0.7500 0.2778

Peak list (10 most intense, 5° ≤ 2θ ≤ 70°, by angle)
- d 5.162, 17.18 deg, I = 46
- d 3.428, 25.99 deg, I = 27
- d 3.149, 28.34 deg, I = 100
- d 3.004, 29.74 deg, I = 41
- d 2.596, 34.55 deg, I = 44
- d 2.292, 39.30 deg, I = 27
- d 2.165, 41.72 deg, I = 44
- d 2.096, 43.15 deg, I = 31
- d 1.854, 49.14 deg, I = 20
- d 1.574, 58.65 deg, I = 32



Computed PXRD pattern of CaCu2SiS4 for Cu Kα, from a structure optimized by DFT (GGA-PBE).
Lines closer than 0.1° are merged.

Cell: 8.2801 8.2986 9.3343 Å, 90.00 90.00 90.00°
Space group Fmm2 (No. 42)
Unique sites:
Ca 0.0000 0.0000 0.0000
Cu 0.2500 0.2500 0.2485
Si 0.0000 0.0000 0.4983
S 0.0000 0.2070 0.6356
S 0.2076 0.0000 0.3613

Peak list (10 most intense, 5° ≤ 2θ ≤ 70°, by angle)
- d 4.667, 19.02 deg, I = 9
- d 3.099, 28.81 deg, I = 100
- d 2.931, 30.50 deg, I = 6
- d 2.524, 35.57 deg, I = 7
- d 2.075, 43.63 deg, I = 12
- d 2.070, 43.73 deg, I = 12
- d 1.826, 49.96 deg, I = 34
- d 1.723, 53.17 deg, I = 29
- d 1.465, 63.48 deg, I = 6
- d 1.456, 63.92 deg, I = 9



Computed PXRD pattern of Li2Ca6Hg for Cu Kα, from a structure optimized by DFT (GGA-PBE).
Lines closer than 0.1° are merged.

Cell: 10.4913 10.5011 5.5242 Å, 90.00 90.00 90.00°
Space group Pnnm (No. 58)
Unique sites:
Li 0.2008 0.2035 0.0000
Ca 0.0273 0.3091 0.5000
Ca 0.1198 0.8819 0.0000
Ca 0.1906 0.5291 0.0000
Hg 0.0000 0.0000 0.5000

Peak list (10 most intense, 5° ≤ 2θ ≤ 70°, by angle)
- d 7.422, 11.92 deg, I = 83
- d 5.248, 16.89 deg, I = 54
- d 4.888, 18.15 deg, I = 68
- d 3.319, 26.86 deg, I = 34
- d 2.956, 30.24 deg, I = 100
- d 2.762, 32.41 deg, I = 27
- d 2.575, 34.84 deg, I = 38
- d 2.474, 36.31 deg, I = 25
- d 2.312, 38.96 deg, I = 36
- d 1.962, 46.27 deg, I = 27